[1]
Computed powder diffraction line list of Sr2EuNbCu2O8 for Cu Kα X-rays, from a GGA-PBE-relaxed structure.
Intensities are scaled so that the largest is 100.

Top 10 peaks for 15 to 90 degrees two-theta, by angle:
2theta, I (rel.)
24.04, 13
32.23, 100
32.50, 55
38.10, 18
46.62, 34
57.31, 12
57.82, 40
67.46, 11
68.06, 10
77.47, 10

Structural model:
```
Sr2EuNbCu2O8
1.0
-2.755 2.755 11.878
2.755 -2.755 11.878
2.755 2.755 -11.878
Sr Eu Nb Cu O
4 2 2 4 16
direct
0.100 0.600 0.500
0.400 0.900 0.500
0.600 0.100 0.500
0.900 0.400 0.500
0.250 0.750 0.500
0.750 0.250 0.500
0.000 0.000 0.000
0.500 0.500 0.000
0.178 0.178 0.000
0.322 0.322 0.000
0.678 0.678 0.000
0.822 0.822 0.000
0.064 0.067 0.500
0.067 0.567 0.003
0.084 0.084 0.000
0.180 0.680 0.861
0.320 0.180 0.500
0.416 0.416 0.000
0.433 0.436 0.500
0.436 0.936 0.003
0.564 0.064 0.997
0.567 0.564 0.500
0.584 0.584 0.000
0.680 0.820 0.500
0.820 0.320 0.139
0.916 0.916 0.000
0.933 0.433 0.997
0.936 0.933 0.500
```

=====

[2]
Computed powder diffraction line list of EuCuNi4 for Cu Kα X-rays, from a GGA-PBE-relaxed structure.
Intensities are scaled so that the largest is 100.

Top 10 peaks for 15 to 90 degrees two-theta, by angle:
2theta, I (rel.)
22.13, 8
25.61, 9
36.53, 46
43.12, 100
45.14, 25
59.41, 3
65.75, 16
70.30, 29
77.62, 22
88.97, 7

Structural model:
```
EuCuNi4
1.0
0.000 3.479 3.479
3.479 0.000 3.479
3.479 3.479 0.000
Eu Cu Ni
1 1 4
direct
0.000 0.000 0.000
0.750 0.750 0.750
0.376 0.376 0.376
0.376 0.376 0.872
0.376 0.872 0.376
0.872 0.376 0.376
```

=====

[3]
Computed powder diffraction line list of Eu2Cu6P5 for Cu Kα X-rays, from a GGA-PBE-relaxed structure.
Intensities are scaled so that the largest is 100.

Top 10 peaks for 15 to 90 degrees two-theta, by angle:
2theta, I (rel.)
22.33, 27
24.55, 33
33.61, 70
34.60, 100
36.10, 33
38.31, 86
44.96, 82
57.29, 29
58.96, 30
65.46, 25

Structural model:
```
Eu2Cu6P5
1.0
-2.016 2.016 12.439
2.016 -2.016 12.439
2.016 2.016 -12.439
Eu Cu P
2 6 5
direct
0.149 0.149 0.000
0.851 0.851 0.000
0.052 0.552 0.500
0.250 0.750 0.500
0.448 0.948 0.500
0.552 0.052 0.500
0.750 0.250 0.500
0.948 0.448 0.500
0.000 0.000 0.000
0.302 0.302 0.000
0.395 0.395 0.000
0.605 0.605 0.000
0.698 0.698 0.000
```

=====

[4]
Computed powder diffraction line list of EuPaCu4 for Cu Kα X-rays, from a GGA-PBE-relaxed structure.
Intensities are scaled so that the largest is 100.

Top 10 peaks for 15 to 90 degrees two-theta, by angle:
2theta, I (rel.)
20.63, 20
34.00, 67
40.10, 100
41.97, 14
53.57, 5
60.85, 26
64.98, 31
71.58, 22
81.66, 11
85.36, 11

Structural model:
```
EuPaCu4
1.0
0.000 3.729 3.729
3.729 0.000 3.729
3.729 3.729 0.000
Eu Pa Cu
1 1 4
direct
0.000 0.000 0.000
0.750 0.750 0.750
0.375 0.375 0.375
0.375 0.375 0.875
0.375 0.875 0.375
0.875 0.375 0.375
```

=====

[5]
Computed powder diffraction line list of PmEu2Cu for Cu Kα X-rays, from a GGA-PBE-relaxed structure.
Intensities are scaled so that the largest is 100.

Top 10 peaks for 15 to 90 degrees two-theta, by angle:
2theta, I (rel.)
26.24, 27
29.11, 18
31.26, 100
34.72, 52
38.31, 11
45.93, 21
49.92, 18
55.94, 14
60.09, 30
78.23, 11

Structural model:
```
PmEu2Cu
1.0
3.654 0.000 0.000
0.000 3.654 0.000
0.000 0.000 9.202
Pm Eu Cu
1 2 1
direct
0.000 0.000 0.000
0.500 0.500 0.308
0.500 0.500 0.692
0.000 0.000 0.500
```

=====

[6]
Computed powder diffraction line list of EuCuRh for Cu Kα X-rays, from a GGA-PBE-relaxed structure.
Intensities are scaled so that the largest is 100.

Top 10 peaks for 15 to 90 degrees two-theta, by angle:
2theta, I (rel.)
24.26, 9
33.02, 100
42.69, 45
45.00, 13
51.77, 3
55.01, 23
63.76, 26
72.03, 20
75.36, 9
78.17, 7

Structural model:
```
EuCuRh
1.0
4.236 0.000 0.000
-2.118 3.668 0.000
0.000 0.000 4.029
Eu Cu Rh
1 1 1
direct
0.000 0.000 0.000
0.333 0.667 0.500
0.667 0.333 0.500
```

=====

[7]
Computed powder diffraction line list of EuYCuRu for Cu Kα X-rays, from a GGA-PBE-relaxed structure.
Intensities are scaled so that the largest is 100.

Top 10 peaks for 15 to 90 degrees two-theta, by angle:
2theta, I (rel.)
22.07, 7
25.54, 4
36.43, 100
43.01, 4
52.48, 17
57.60, 2
59.25, 2
65.57, 34
77.40, 11
88.70, 15

Structural model:
```
EuYCuRu
1.0
6.975 0.000 0.000
0.000 6.975 0.000
0.000 0.000 6.975
Eu Y Cu Ru
4 4 4 4
direct
0.000 0.000 0.000
0.000 0.500 0.500
0.500 0.000 0.500
0.500 0.500 0.000
0.000 0.000 0.500
0.000 0.500 0.000
0.500 0.000 0.000
0.500 0.500 0.500
0.250 0.250 0.250
0.250 0.750 0.750
0.750 0.250 0.750
0.750 0.750 0.250
0.250 0.250 0.750
0.250 0.750 0.250
0.750 0.250 0.250
0.750 0.750 0.750
```

=====

[8]
Computed powder diffraction line list of Sm2EuCu for Cu Kα X-rays, from a GGA-PBE-relaxed structure.
Intensities are scaled so that the largest is 100.

Top 10 peaks for 15 to 90 degrees two-theta, by angle:
2theta, I (rel.)
26.48, 35
29.64, 21
31.63, 100
34.99, 57
38.85, 12
46.50, 25
50.33, 20
56.89, 13
59.49, 12
60.67, 31

Structural model:
```
Sm2EuCu
1.0
3.626 0.000 0.000
0.000 3.626 0.000
0.000 0.000 9.043
Sm Eu Cu
2 1 1
direct
0.000 0.000 0.185
0.000 0.000 0.815
0.500 0.500 0.500
0.500 0.500 0.000
```